Diffraction record for BaH6C2S2N2O3. The powder diffractogram is simulated, not measured: it uses a GGA-PBE-relaxed structure and λ = 1.5418 Å (Cu Kα).
No peak broadening, texture or thermal motion is included.

Peak list (10 most intense, 15° ≤ 2θ ≤ 90°, in order of falling intensity)
two_theta  intensity  index
27.86  100.0  3 1 1
21.93  87.6  1 1 1
33.00  83.4  1 1 -4
39.79  77.0  0 2 0
22.45  76.8  4 0 0
20.58  76.1  2 0 -3
34.51  72.5  5 1 0
39.62  67.0  5 1 -4
21.04  58.4  1 1 -1
25.56  55.4  2 0 3

Atomic structure:
a = 16.358 Å, b = 4.531 Å, c = 13.570 Å
α = 90.00°, β = 104.40°, γ = 90.00°
Space group C2/m (No. 12)
Inequivalent atoms, fractional coordinates:
Ba (0.121, 0.000, 0.272)
H (0.036, 0.171, 0.618)
H (0.111, 0.171, 0.026)
H (0.229, 0.500, 0.139)
H (0.232, 0.000, 0.744)
C (0.065, 0.500, 0.851)
C (0.159, 0.500, 0.504)
S (0.155, 0.500, 0.624)
S (0.163, 0.500, 0.916)
N (0.007, 0.500, 0.195)
N (0.161, 0.500, 0.417)
O (0.001, 0.000, 0.623)
O (0.100, 0.000, 0.066)
O (0.214, 0.500, 0.205)

***

Diffraction record for BaH2C2O6. The powder diffractogram is simulated, not measured: it uses a GGA-PBE-relaxed structure and λ = 1.5418 Å (Cu Kα).
No peak broadening, texture or thermal motion is included.

Peak list (10 most intense, 15° ≤ 2θ ≤ 90°, in order of falling intensity)
two_theta  intensity  index
24.67  100.0  0 1 -2
21.89  86.7  1 0 -1
20.88  68.9  0 1 1
23.46  68.4  1 0 2
32.67  48.1  -1 1 2
28.03  46.7  1 1 0
21.56  44.7  0 0 3
45.32  42.0  1 -2 0
29.63  38.1  0 1 -3
36.97  35.6  -1 1 3

Atomic structure:
a = 4.470 Å, b = 4.503 Å, c = 12.430 Å
α = 88.90°, β = 84.32°, γ = 89.25°
Space group P1 (No. 1)
Inequivalent atoms, fractional coordinates:
Ba (0.000, 0.000, 0.000)
H (0.246, 0.528, 0.180)
H (0.567, 0.672, 0.833)
C (0.378, 0.733, 0.400)
C (0.764, 0.317, 0.610)
O (0.115, 0.488, 0.124)
O (0.180, 0.516, 0.886)
O (0.453, 0.160, 0.120)
O (0.486, 0.720, 0.313)
O (0.517, 0.830, 0.885)
O (0.784, 0.328, 0.701)